Structure and theoretical PXRD pattern of Tm4InRh5 (a structure optimized by DFT (GGA-PBE); Cu Ka).
Peak positions follow from Bragg's law for the DFT cell and can differ from measured ones.

Lattice parameters (Å, degrees): 3.385 3.385 16.374 90.00 90.00 90.00
Sites, in units of the cell vectors:
1 Tm 0.000 0.000 0.102
2 Tm 0.000 0.000 0.306
3 Tm 0.000 0.000 0.694
4 Tm 0.000 0.000 0.898
5 In 0.000 0.000 0.500
6 Rh 0.500 0.500 0.000
7 Rh 0.500 0.500 0.203
8 Rh 0.500 0.500 0.406
9 Rh 0.500 0.500 0.594
10 Rh 0.500 0.500 0.797

Main lines, by intensity (2θ from 10° to 90°):
- 2θ = 38.2°, rel. 100, hkl 1 0 5
- 2θ = 37.6°, rel. 53, hkl 1 1 0
- 2θ = 68.3°, rel. 36, hkl 2 1 5
- 2θ = 54.2°, rel. 18, hkl 2 0 0
- 2θ = 69.6°, rel. 16, hkl 1 1 10
- 2θ = 81.9°, rel. 10, hkl 2 0 10
- 2θ = 56.2°, rel. 8, hkl 0 0 10
- 2θ = 80.2°, rel. 6, hkl 2 2 0
- 2θ = 26.3°, rel. 5, hkl 1 0 0
- 2θ = 27.2°, rel. 2, hkl 0 0 5